For LiTb2ScS5, the GGA-PBE geometry in Alexandria gives the computed XRD peak list in this record (Cu Kα (weighted mean of Kα1 and Kα2)).
Intensities are scaled so that the largest is 100.

Unit cell a=3.838 b=15.962 c=11.570 alpha=90.00 beta=90.00 gamma=90.00
Space group Cmc2_1 (No. 36)
Asymmetric unit:
Li (0.000, 0.018, 0.000)
Tb (0.000, 0.372, 0.819)
Tb (0.000, 0.394, 0.209)
Sc (0.000, 0.302, 0.529)
S (0.000, 0.002, 0.303)
S (0.000, 0.139, 0.522)
S (0.000, 0.193, 0.875)
S (0.000, 0.217, 0.183)
S (0.000, 0.448, 0.593)

Peak list (10 most intense, 2θ = 5–70°, by intensity)
hkl, d (Å), 2theta, I_rel
1 1 3, 2.682, 33.41, 100.0
0 0 2, 5.785, 15.32, 62.4
0 2 3, 3.472, 25.65, 54.7
1 5 2, 2.259, 39.90, 54.0
1 1 0, 3.732, 23.84, 47.9
0 4 0, 3.990, 22.28, 41.7
1 3 5, 1.857, 49.06, 36.1
1 5 0, 2.454, 36.61, 35.6
1 1 2, 3.136, 28.46, 35.3
0 2 5, 2.222, 40.59, 32.8